No. 1
Calculated PXRD pattern
Compound: La4Pr10Y
Radiation: Cu Ka
Structure: a cell relaxed with GGA-PBE
Lines closer than 0.1° are merged.

Structure:
abc: 11.7636 11.7636 8.0624
angles: 90.00 90.00 90.00
Space group I4/mmm (No. 139)
Symmetry-distinct sites (fractional):
La  0.2267  0.2267  0.0000
Pr  0.0000  0.2109  0.2895
Pr  0.0000  0.5000  0.2500
Y  0.0000  0.0000  0.0000

Main lines, most intense first (5 to 70 degrees two-theta):
h k l, 2θ (°), intensity
4 0 0, 30.39, 100
2 2 2, 30.89, 92
2 0 2, 26.81, 56
3 3 2, 39.44, 44
3 2 1, 29.54, 41
4 0 4, 55.24, 35
3 1 2, 32.76, 34
7 3 2, 64.62, 31

=====

No. 2
Calculated PXRD pattern
Compound: La3Pr7Y
Radiation: Cu Ka
Structure: a cell relaxed with GGA-PBE
Lines closer than 0.1° are merged.

Structure:
abc: 11.9669 10.4051 6.6134
angles: 90.00 94.54 90.00
Space group C2/m (No. 12)
Symmetry-distinct sites (fractional):
La  0.0000  0.0000  0.0000
La  0.0000  0.1740  0.5000
Pr  0.0000  0.5000  0.5000
Pr  0.2380  0.0000  0.7139
Pr  0.2423  0.3274  0.7618
Y  0.0000  0.5000  0.0000

Main lines, most intense first (5 to 70 degrees two-theta):
h k l, 2θ (°), intensity
4 0 0, 29.94, 100
1 3 1, 30.33, 74
3 3 -1, 36.31, 46
2 0 2, 32.05, 40
5 3 1, 49.20, 36
4 6 0, 61.88, 24
7 3 -1, 61.20, 19
6 0 2, 55.82, 15

=====

No. 3
Calculated PXRD pattern
Compound: La6Pr12Y
Radiation: Cu Ka
Structure: a cell relaxed with GGA-PBE
Lines closer than 0.1° are merged.

Structure:
abc: 12.4980 12.4980 15.4521
angles: 90.00 90.00 120.00
Space group R-3 (No. 148, hexagonal axes)
Symmetry-distinct sites (fractional):
La  0.0130  0.4214  0.1872
Pr  0.0050  0.1734  0.3109
Pr  0.0508  0.8527  0.9167
Y  0.0000  0.0000  0.5000

Main lines, most intense first (5 to 70 degrees two-theta):
h k l, 2θ (°), intensity
1 3 1, 30.31, 100
3 -1 4, 31.86, 52
0 1 5, 30.07, 31
4 -1 2, 31.99, 23
5 -2 4, 43.34, 14
2 2 3, 33.55, 12
5 2 0, 52.82, 9
2 1 1, 22.48, 9

=====

No. 4
Calculated PXRD pattern
Compound: La2Pr3Y7
Radiation: Cu Ka
Structure: a cell relaxed with GGA-PBE
Lines closer than 0.1° are merged.

Structure:
abc: 6.4668 3.5777 17.8580
angles: 90.00 96.19 90.00
Space group P2/m (No. 10)
Symmetry-distinct sites (fractional):
La  0.0512  0.0000  0.1731
Pr  0.4581  0.5000  0.8403
Pr  0.5000  0.0000  0.5000
Y  0.0000  0.5000  0.5000
Y  0.2262  0.0000  0.6644
Y  0.2553  0.0000  0.0012
Y  0.2732  0.5000  0.3372

Main lines, most intense first (5 to 70 degrees two-theta):
h k l, 2θ (°), intensity
0 0 6, 30.19, 100
1 1 2, 30.82, 57
1 1 -4, 34.21, 41
2 0 3, 33.11, 38
1 1 1, 29.26, 28
0 2 6, 60.47, 27
2 0 -9, 51.72, 25
3 1 -1, 49.36, 21

=====

No. 5
Calculated PXRD pattern
Compound: La6Pr8Y
Radiation: Cu Ka
Structure: a cell relaxed with GGA-PBE
Lines closer than 0.1° are merged.

Structure:
abc: 9.5890 9.5890 20.6858
angles: 90.00 90.00 120.00
Space group R-3 (No. 148, hexagonal axes)
Symmetry-distinct sites (fractional):
La  0.0470  0.2483  0.1919
Pr  0.0000  0.0000  0.0725
Pr  0.0740  0.2464  0.6599
Y  0.0000  0.0000  0.5000

Main lines, most intense first (5 to 70 degrees two-theta):
h k l, 2θ (°), intensity
3 -2 2, 29.75, 100
2 1 4, 33.39, 48
1 4 0, 50.35, 24
0 0 6, 25.84, 18
2 0 5, 30.50, 18
1 0 7, 32.15, 17
1 4 6, 57.45, 12
4 2 2, 59.58, 12

=====

No. 6
Calculated PXRD pattern
Compound: La3Pr9Y2
Radiation: Cu Ka
Structure: a cell relaxed with GGA-PBE
Lines closer than 0.1° are merged.

Structure:
abc: 18.5954 10.6161 5.5470
angles: 90.00 107.35 90.00
Space group C2/m (No. 12)
Symmetry-distinct sites (fractional):
La  0.0000  0.0000  0.0000
La  0.1706  0.0000  0.6704
Pr  0.0000  0.5000  0.0000
Pr  0.1225  0.2265  0.1215
Pr  0.1946  0.3489  0.6930
Y  0.0000  0.2448  0.5000

Main lines, most intense first (5 to 70 degrees two-theta):
h k l, 2θ (°), intensity
4 0 1, 29.92, 100
4 2 -1, 27.72, 97
2 0 -2, 32.28, 64
4 2 1, 34.43, 49
2 6 1, 56.79, 31
3 3 -1, 31.64, 25
3 3 2, 49.00, 25
2 0 1, 21.96, 22

=====

No. 7
Calculated PXRD pattern
Compound: La2PrY3
Radiation: Cu Ka
Structure: a cell relaxed with GGA-PBE
Lines closer than 0.1° are merged.

Structure:
abc: 7.1845 10.0259 5.7666
angles: 90.00 90.00 90.00
Space group Pnnm (No. 58)
Symmetry-distinct sites (fractional):
La  0.2466  0.1667  0.0000
Pr  0.0000  0.5000  0.0000
Y  0.0000  0.0000  0.5000
Y  0.2488  0.3328  0.5000

Main lines, most intense first (5 to 70 degrees two-theta):
h k l, 2θ (°), intensity
0 3 1, 30.96, 100
2 2 0, 30.64, 92
2 2 2, 44.11, 33
4 3 1, 60.72, 28
2 5 1, 54.82, 23
0 6 0, 54.95, 18
0 3 3, 55.12, 13
2 3 1, 40.05, 10

=====

No. 8
Calculated PXRD pattern
Compound: La4PrY4
Radiation: Cu Ka
Structure: a cell relaxed with GGA-PBE
Lines closer than 0.1° are merged.

Structure:
abc: 6.3273 9.7113 10.9928
angles: 100.77 106.49 96.24
Space group P-1 (No. 2)
Symmetry-distinct sites (fractional):
La  0.2473  0.4150  0.0277
La  0.2490  0.7484  0.2516
La  0.2510  0.0835  0.1400
La  0.2517  0.7492  0.5832
Pr  0.2479  0.0823  0.8037
Y  0.2468  0.7471  0.9157
Y  0.2503  0.4165  0.3632
Y  0.2500  0.4185  0.6920
Y  0.2511  0.0840  0.4739

Main lines, most intense first (5 to 70 degrees two-theta):
h k l, 2θ (°), intensity
0 1 3, 29.80, 100
2 0 0, 29.91, 99
1 3 0, 34.55, 67
3 3 0, 59.10, 42
-2 1 3, 34.72, 33
2 1 3, 49.62, 24
1 1 -6, 49.75, 24
3 2 -3, 49.88, 23

=====

No. 9
Calculated PXRD pattern
Compound: LaPr8Y3
Radiation: Cu Ka
Structure: a cell relaxed with GGA-PBE
Lines closer than 0.1° are merged.

Structure:
abc: 6.7357 11.5000 11.7747
angles: 90.00 90.00 90.00
Space group Immm (No. 71)
Symmetry-distinct sites (fractional):
La  0.0000  0.0000  0.0000
Pr  0.0000  0.1664  0.2528
Pr  0.2310  0.2692  0.0000
Y  0.0000  0.0000  0.5000
Y  0.0000  0.5000  0.2235

Main lines, most intense first (5 to 70 degrees two-theta):
h k l, 2θ (°), intensity
1 3 2, 30.83, 100
2 0 2, 30.58, 49
0 0 4, 30.36, 49
2 2 2, 34.42, 47
1 1 0, 15.23, 27
0 4 2, 34.73, 23
0 2 0, 15.41, 19
2 6 4, 64.25, 18

=====

No. 10
Calculated PXRD pattern
Compound: La5Pr2Y2
Radiation: Cu Ka
Structure: a cell relaxed with GGA-PBE
Lines closer than 0.1° are merged.

Structure:
abc: 3.7050 5.2497 16.8597
angles: 81.06 83.78 89.94
Space group P-1 (No. 2)
Symmetry-distinct sites (fractional):
La  0.0000  0.0000  0.0000
La  0.2218  0.2215  0.5566
La  0.4440  0.4446  0.1106
Pr  0.3336  0.3342  0.3312
Y  0.1122  0.1118  0.7771

Main lines, most intense first (5 to 70 degrees two-theta):
h k l, 2θ (°), intensity
1 1 1, 29.51, 100
0 1 5, 29.65, 99
1 0 5, 34.35, 67
2 0 1, 49.22, 60
0 2 1, 34.16, 34
1 3 2, 58.34, 22
0 3 6, 58.44, 21
2 1 6, 58.53, 14

=====

No. 11
Calculated PXRD pattern
Compound: LaPrYZn
Radiation: Cu Ka
Structure: a cell relaxed with GGA-PBE
Lines closer than 0.1° are merged.

Structure:
abc: 3.6732 3.6732 8.9363
angles: 90.00 90.00 90.00
Space group P4mm (No. 99)
Symmetry-distinct sites (fractional):
La  0.0000  0.0000  0.0000
Pr  0.5000  0.5000  0.3038
Y  0.0000  0.0000  0.5906
Zn  0.5000  0.5000  0.7744

Main lines, most intense first (5 to 70 degrees two-theta):
h k l, 2θ (°), intensity
1 0 2, 31.53, 100
1 1 0, 34.53, 47
2 1 2, 60.00, 31
1 0 1, 26.23, 21
2 0 0, 49.64, 17
1 1 3, 46.38, 14
1 1 4, 54.15, 12
0 0 3, 30.00, 12

=====

No. 12
Calculated PXRD pattern
Compound: LaPrZn3
Radiation: Cu Ka
Structure: a cell relaxed with GGA-PBE
Lines closer than 0.1° are merged.

Structure:
abc: 3.6806 28.1362 4.6593
angles: 90.00 90.00 90.00
Space group Cmcm (No. 63)
Symmetry-distinct sites (fractional):
La  0.0000  0.0717  0.2500
Pr  0.0000  0.2078  0.7500
Zn  0.0000  0.3299  0.7500
Zn  0.0000  0.3821  0.2500
Zn  0.0000  0.4767  0.2500

Main lines, most intense first (5 to 70 degrees two-theta):
h k l, 2θ (°), intensity
1 3 1, 32.44, 100
1 7 0, 33.00, 61
0 10 1, 37.34, 53
0 0 2, 38.65, 36
1 7 2, 51.71, 34
0 4 1, 22.89, 22
2 10 1, 63.63, 21
2 0 0, 49.53, 17

=====

Which formula does entry 3 have?
La6Pr12Y